Record 1
For SmMgZr, a structure optimized by DFT (GGA-PBE) gives the theoretical powder X-ray diffraction pattern in this record (a wavelength of 1.5418 Å).

Principal peaks in the range 2θ from 15° to 90°, by intensity:
- d 2.728, intensity 100
- d 2.370, intensity 69
- d 2.766, intensity 29
- d 1.428, intensity 23
- d 1.685, intensity 22
- d 1.668, intensity 20
- d 2.888, intensity 16
- d 1.439, intensity 14
- d 1.423, intensity 13
- d 1.998, intensity 12

Structural model:
Cell lengths 3.335, 3.335, 8.297 Å; angles 90.00, 90.00, 120.00 degrees
Fractional coordinates of all 3 atoms:
Sm (0.000, 0.000, 0.000)
Mg (0.667, 0.333, 0.361)
Zr (0.333, 0.667, 0.677)

Record 2
For Pu2Sb3, a structure optimized by DFT (GGA-PBE) gives the theoretical powder X-ray diffraction pattern in this record (a wavelength of 1.5418 Å).

Principal peaks in the range 2θ from 15° to 90°, by intensity:
- d 2.778, intensity 100
- d 2.749, intensity 46
- d 2.850, intensity 38
- d 3.970, intensity 23
- d 3.783, intensity 23
- d 2.151, intensity 22
- d 1.400, intensity 20
- d 2.255, intensity 20
- d 1.428, intensity 18
- d 1.717, intensity 18

Structural model:
Cell lengths 6.094, 6.094, 6.094 Å; angles 138.66, 98.69, 95.63 degrees
Fractional coordinates of all 5 atoms:
Pu (0.219, 0.219, 0.000)
Pu (0.781, 0.781, 0.000)
Sb (0.209, 0.500, 0.709)
Sb (0.500, 0.000, 0.500)
Sb (0.791, 0.500, 0.291)

Record 3
For InSeCl, a structure optimized by DFT (GGA-PBE) gives the theoretical powder X-ray diffraction pattern in this record (a wavelength of 1.5418 Å).

Principal peaks in the range 2θ from 15° to 90°, by intensity:
- d 3.536, intensity 100
- d 3.417, intensity 56
- d 3.066, intensity 56
- d 3.140, intensity 53
- d 2.472, intensity 42
- d 1.934, intensity 39
- d 3.521, intensity 36
- d 2.652, intensity 36
- d 2.457, intensity 35
- d 2.054, intensity 31

Structural model:
Cell lengths 6.834, 4.108, 6.943 Å; angles 90.00, 90.13, 90.00 degrees
Fractional coordinates of all 6 atoms:
In (0.000, 0.000, 0.000)
In (0.500, 0.500, 0.120)
Se (0.124, 0.500, 0.212)
Se (0.624, 0.000, 0.908)
Cl (0.163, 0.000, 0.697)
Cl (0.664, 0.500, 0.423)

Record 4
For Ce7Hg3Ge, a structure optimized by DFT (GGA-PBE) gives the theoretical powder X-ray diffraction pattern in this record (a wavelength of 1.5418 Å).

Principal peaks in the range 2θ from 15° to 90°, by intensity:
- d 2.609, intensity 100
- d 2.812, intensity 96
- d 2.713, intensity 79
- d 2.461, intensity 75
- d 1.952, intensity 62
- d 2.546, intensity 34
- d 2.653, intensity 30
- d 3.671, intensity 29
- d 3.403, intensity 27
- d 1.514, intensity 24

Structural model:
Cell lengths 7.751, 7.751, 5.644 Å; angles 108.00, 108.00, 88.88 degrees
Fractional coordinates of all 11 atoms:
Ce (0.000, 0.000, 0.000)
Ce (0.070, 0.576, 0.352)
Ce (0.294, 0.294, 0.809)
Ce (0.424, 0.930, 0.648)
Ce (0.576, 0.070, 0.352)
Ce (0.706, 0.706, 0.191)
Ce (0.930, 0.424, 0.648)
Hg (0.281, 0.719, 0.000)
Hg (0.500, 0.500, 0.500)
Hg (0.719, 0.281, 0.000)
Ge (0.000, 0.000, 0.500)

Record 5
For Li2AcMgTl2, a structure optimized by DFT (GGA-PBE) gives the theoretical powder X-ray diffraction pattern in this record (a wavelength of 1.5418 Å).

Principal peaks in the range 2θ from 15° to 90°, by intensity:
- d 3.186, intensity 100
- d 3.514, intensity 56
- d 2.490, intensity 56
- d 2.903, intensity 38
- d 2.072, intensity 38
- d 1.682, intensity 26
- d 2.881, intensity 21
- d 1.541, intensity 18
- d 1.737, intensity 18
- d 1.769, intensity 16

Structural model:
Cell lengths 11.770, 11.770, 11.770 Å; angles 20.28, 20.28, 20.28 degrees
Fractional coordinates of all 6 atoms:
Li (0.217, 0.217, 0.217)
Li (0.783, 0.783, 0.783)
Ac (0.000, 0.000, 0.000)
Mg (0.500, 0.500, 0.500)
Tl (0.407, 0.407, 0.407)
Tl (0.593, 0.593, 0.593)

Record 6
For HfNbPb2O6, a structure optimized by DFT (GGA-PBE) gives the theoretical powder X-ray diffraction pattern in this record (a wavelength of 1.5418 Å).

Principal peaks in the range 2θ from 15° to 90°, by intensity:
- d 2.923, intensity 100
- d 1.688, intensity 41
- d 2.067, intensity 27
- d 1.307, intensity 18
- d 1.462, intensity 14
- d 1.105, intensity 11
- d 1.104, intensity 11
- d 2.387, intensity 5
- d 4.774, intensity 3
- d 1.194, intensity 3

Structural model:
Cell lengths 5.846, 5.846, 5.846 Å; angles 120.04, 119.93, 90.03 degrees
Fractional coordinates of all 10 atoms:
Hf (0.000, 0.000, 0.000)
Nb (0.500, 0.500, 0.000)
Pb (0.249, 0.749, 0.500)
Pb (0.751, 0.251, 0.500)
O (0.252, 0.252, 0.000)
O (0.252, 0.253, 0.505)
O (0.252, 0.747, 0.999)
O (0.748, 0.253, 0.001)
O (0.748, 0.747, 0.495)
O (0.748, 0.748, 0.000)

Record 7
For Cd6Ga2Sn, a structure optimized by DFT (GGA-PBE) gives the theoretical powder X-ray diffraction pattern in this record (a wavelength of 1.5418 Å).

Principal peaks in the range 2θ from 15° to 90°, by intensity:
- d 2.752, intensity 100
- d 2.422, intensity 76
- d 2.389, intensity 53
- d 2.736, intensity 34
- d 2.958, intensity 33
- d 2.524, intensity 28
- d 2.167, intensity 24
- d 1.616, intensity 22
- d 2.675, intensity 18
- d 1.501, intensity 15

Structural model:
Cell lengths 5.694, 5.694, 7.245 Å; angles 108.64, 108.64, 77.38 degrees
Fractional coordinates of all 9 atoms:
Cd (0.127, 0.698, 0.773)
Cd (0.286, 0.286, 0.026)
Cd (0.302, 0.873, 0.227)
Cd (0.698, 0.127, 0.773)
Cd (0.714, 0.714, 0.974)
Cd (0.873, 0.302, 0.227)
Ga (0.162, 0.162, 0.597)
Ga (0.838, 0.838, 0.403)
Sn (0.500, 0.500, 0.500)

Record 8
For PmAgIrPb, a structure optimized by DFT (GGA-PBE) gives the theoretical powder X-ray diffraction pattern in this record (a wavelength of 1.5418 Å).

Principal peaks in the range 2θ from 15° to 90°, by intensity:
- d 2.489, intensity 100
- d 1.437, intensity 36
- d 1.760, intensity 18
- d 1.113, intensity 17
- d 1.245, intensity 11
- d 4.065, intensity 5
- d 2.123, intensity 3
- d 1.615, intensity 1
- d 1.190, intensity 1
- d 1.355, intensity 1

Structural model:
Cell lengths 4.979, 4.979, 4.979 Å; angles 60.00, 60.00, 60.00 degrees
Fractional coordinates of all 4 atoms:
Pm (0.000, 0.000, 0.000)
Ag (0.250, 0.250, 0.250)
Ir (0.750, 0.750, 0.750)
Pb (0.500, 0.500, 0.500)

Record 9
For TbPm2Hg5, a structure optimized by DFT (GGA-PBE) gives the theoretical powder X-ray diffraction pattern in this record (a wavelength of 1.5418 Å).

Principal peaks in the range 2θ from 15° to 90°, by intensity:
- d 2.636, intensity 100
- d 2.622, intensity 51
- d 1.517, intensity 38
- d 1.854, intensity 19
- d 1.525, intensity 17
- d 1.318, intensity 11
- d 1.173, intensity 9
- d 1.174, intensity 8
- d 1.874, intensity 8
- d 1.184, intensity 6

Structural model:
Cell lengths 8.363, 8.363, 8.363 Å; angles 143.45, 143.45, 52.65 degrees
Fractional coordinates of all 8 atoms:
Tb (0.000, 0.000, 0.000)
Pm (0.266, 0.266, 0.000)
Pm (0.734, 0.734, 0.000)
Hg (0.120, 0.620, 0.500)
Hg (0.380, 0.880, 0.500)
Hg (0.500, 0.500, 0.000)
Hg (0.620, 0.120, 0.500)
Hg (0.880, 0.380, 0.500)

Record 10
For Pm2Sc4Si3H2, a structure optimized by DFT (GGA-PBE) gives the theoretical powder X-ray diffraction pattern in this record (a wavelength of 1.5418 Å).

Principal peaks in the range 2θ from 15° to 90°, by intensity:
- d 2.948, intensity 100
- d 3.745, intensity 76
- d 2.370, intensity 65
- d 3.119, intensity 58
- d 2.160, intensity 58
- d 2.582, intensity 52
- d 2.818, intensity 29
- d 1.657, intensity 27
- d 1.714, intensity 25
- d 1.776, intensity 24

Structural model:
Cell lengths 11.677, 11.677, 11.677 Å; angles 158.68, 158.68, 30.33 degrees
Fractional coordinates of all 11 atoms:
Pm (0.198, 0.198, 0.000)
Pm (0.802, 0.802, 0.000)
Sc (0.077, 0.577, 0.500)
Sc (0.423, 0.923, 0.500)
Sc (0.577, 0.077, 0.500)
Sc (0.923, 0.423, 0.500)
Si (0.337, 0.337, 0.000)
Si (0.500, 0.500, 0.000)
Si (0.663, 0.663, 0.000)
H (0.091, 0.091, 0.000)
H (0.909, 0.909, 0.000)

Record 11
For Sm2Y5Pu, a structure optimized by DFT (GGA-PBE) gives the theoretical powder X-ray diffraction pattern in this record (a wavelength of 1.5418 Å).

Principal peaks in the range 2θ from 15° to 90°, by intensity:
- d 2.687, intensity 100
- d 3.071, intensity 79
- d 2.920, intensity 77
- d 2.731, intensity 63
- d 2.895, intensity 47
- d 2.935, intensity 43
- d 2.591, intensity 33
- d 2.580, intensity 28
- d 2.305, intensity 18
- d 2.289, intensity 18

Structural model:
Cell lengths 6.639, 6.647, 11.959 Å; angles 98.74, 98.67, 90.66 degrees
Fractional coordinates of all 16 atoms:
Sm (0.000, 0.000, 0.000)
Sm (0.000, 0.000, 0.500)
Sm (0.000, 0.500, 0.000)
Sm (0.500, 0.000, 0.500)
Y (0.152, 0.849, 0.750)
Y (0.234, 0.513, 0.467)
Y (0.263, 0.355, 0.725)
Y (0.353, 0.264, 0.225)
Y (0.487, 0.766, 0.033)
Y (0.513, 0.234, 0.967)
Y (0.647, 0.736, 0.775)
Y (0.737, 0.645, 0.275)
Y (0.766, 0.487, 0.533)
Y (0.848, 0.151, 0.250)
Pu (0.212, 0.789, 0.250)
Pu (0.788, 0.211, 0.750)

Record 12
For Ac3Tb2Pb3, a structure optimized by DFT (GGA-PBE) gives the theoretical powder X-ray diffraction pattern in this record (a wavelength of 1.5418 Å).

Principal peaks in the range 2θ from 15° to 90°, by intensity:
- d 2.889, intensity 100
- d 2.823, intensity 56
- d 2.802, intensity 30
- d 1.870, intensity 29
- d 3.470, intensity 23
- d 3.177, intensity 23
- d 1.513, intensity 16
- d 2.210, intensity 16
- d 1.475, intensity 13
- d 1.798, intensity 12

Structural model:
Cell lengths 9.706, 9.706, 6.941 Å; angles 90.00, 90.00, 120.00 degrees
Fractional coordinates of all 16 atoms:
Ac (0.000, 0.245, 0.250)
Ac (0.000, 0.755, 0.750)
Ac (0.245, 0.000, 0.250)
Ac (0.245, 0.245, 0.750)
Ac (0.755, 0.000, 0.750)
Ac (0.755, 0.755, 0.250)
Tb (0.333, 0.667, 0.000)
Tb (0.333, 0.667, 0.500)
Tb (0.667, 0.333, 0.000)
Tb (0.667, 0.333, 0.500)
Pb (0.000, 0.401, 0.750)
Pb (0.000, 0.599, 0.250)
Pb (0.401, 0.000, 0.750)
Pb (0.401, 0.401, 0.250)
Pb (0.599, 0.000, 0.250)
Pb (0.599, 0.599, 0.750)

Record 13
For DyCo2GeP, a structure optimized by DFT (GGA-PBE) gives the theoretical powder X-ray diffraction pattern in this record (a wavelength of 1.5418 Å).

Principal peaks in the range 2θ from 15° to 90°, by intensity:
- d 2.557, intensity 100
- d 2.565, intensity 85
- d 2.647, intensity 68
- d 1.775, intensity 40
- d 1.996, intensity 36
- d 1.594, intensity 29
- d 1.673, intensity 21
- d 2.150, intensity 20
- d 1.236, intensity 18
- d 1.282, intensity 17

Structural model:
Cell lengths 6.063, 6.063, 6.958 Å; angles 90.00, 90.00, 141.55 degrees
Fractional coordinates of all 10 atoms:
Dy (0.068, 0.932, 0.750)
Dy (0.932, 0.068, 0.250)
Co (0.320, 0.680, 0.563)
Co (0.320, 0.680, 0.937)
Co (0.680, 0.320, 0.063)
Co (0.680, 0.320, 0.437)
Ge (0.224, 0.776, 0.250)
Ge (0.776, 0.224, 0.750)
P (0.500, 0.500, 0.000)
P (0.500, 0.500, 0.500)

Record 14
For Dy5Ho12Pu, a structure optimized by DFT (GGA-PBE) gives the theoretical powder X-ray diffraction pattern in this record (a wavelength of 1.5418 Å).

Principal peaks in the range 2θ from 15° to 90°, by intensity:
- d 2.770, intensity 100
- d 2.633, intensity 87
- d 2.830, intensity 49
- d 1.504, intensity 44
- d 3.054, intensity 38
- d 1.776, intensity 38
- d 1.652, intensity 22
- d 1.566, intensity 18
- d 2.212, intensity 16
- d 1.495, intensity 16

Structural model:
Cell lengths 6.153, 6.153, 17.102 Å; angles 93.43, 93.43, 120.01 degrees
Fractional coordinates of all 18 atoms:
Dy (0.000, 0.000, 0.000)
Dy (0.167, 0.833, 0.500)
Dy (0.333, 0.667, 0.000)
Dy (0.667, 0.333, 0.000)
Dy (0.833, 0.167, 0.500)
Ho (0.055, 0.722, 0.168)
Ho (0.115, 0.115, 0.335)
Ho (0.227, 0.556, 0.665)
Ho (0.278, 0.945, 0.832)
Ho (0.388, 0.388, 0.167)
Ho (0.444, 0.773, 0.335)
Ho (0.556, 0.227, 0.665)
Ho (0.612, 0.612, 0.833)
Ho (0.722, 0.055, 0.168)
Ho (0.773, 0.444, 0.335)
Ho (0.885, 0.885, 0.665)
Ho (0.945, 0.278, 0.832)
Pu (0.500, 0.500, 0.500)